Computed XRD peak list of LiAg3PdO4 for copper Kα, from a crystal structure in OQMD, relaxed with PBE.
Intensities are scaled so that the largest is 100.

```
LiAg3PdO4
1.0
5.0673 0.0000 0.0000
0.0000 5.0673 0.0000
0.0000 0.0000 5.0673
Li Ag Pd O
1 3 1 4
direct
0.0000 0.0000 0.0000
0.0000 0.5000 0.5000
0.5000 0.0000 0.5000
0.5000 0.5000 0.0000
0.5000 0.5000 0.5000
0.2237 0.2237 0.2237
0.2237 0.7763 0.7763
0.7763 0.2237 0.7763
0.7763 0.7763 0.2237
```

The 9 most intense peaks (5° ≤ 2θ ≤ 70°), by angle:
2θ = 17.50°, I 100.0; 2θ = 30.56°, I 48.9; 2θ = 35.43°, I 62.1; 2θ = 39.78°, I 60.5; 2θ = 50.97°, I 71.2; 2θ = 54.31°, I 26.8; 2θ = 60.61°, I 17.9; 2θ = 63.61°, I 15.4; 2θ = 66.53°, I 9.1



Computed XRD peak list of LiAg3PtO4 for copper Kα, from a crystal structure in OQMD, relaxed with PBE.
Intensities are scaled so that the largest is 100.

```
LiAg3PtO4
1.0
5.1860 0.0000 0.0000
0.0000 5.1860 0.0000
0.0000 0.0000 5.1860
Li Ag Pt O
1 3 1 4
direct
0.0000 0.0000 0.0000
0.0000 0.5000 0.5000
0.5000 0.0000 0.5000
0.5000 0.5000 0.0000
0.5000 0.5000 0.5000
0.2363 0.2363 0.2363
0.2363 0.7637 0.7637
0.7637 0.2363 0.7637
0.7637 0.7637 0.2363
```

The 10 most intense peaks (5° ≤ 2θ ≤ 70°), by angle:
2θ = 17.10°, I 100.0; 2θ = 24.27°, I 7.0; 2θ = 29.84°, I 11.7; 2θ = 34.59°, I 45.7; 2θ = 38.83°, I 56.2; 2θ = 49.73°, I 51.1; 2θ = 52.97°, I 27.2; 2θ = 59.08°, I 3.8; 2θ = 61.99°, I 11.5; 2θ = 64.82°, I 10.8



Computed XRD peak list of LiReAg3O4 for copper Kα, from a crystal structure in OQMD, relaxed with PBE.
Intensities are scaled so that the largest is 100.

```
LiReAg3O4
1.0
5.6268 0.0000 0.0000
0.0000 5.6268 0.0000
0.0000 0.0000 5.6268
Li Re Ag O
1 1 3 4
direct
0.0000 0.0000 0.0000
0.5000 0.5000 0.5000
0.0000 0.5000 0.5000
0.5000 0.0000 0.5000
0.5000 0.5000 0.0000
0.3012 0.3012 0.3012
0.3012 0.6988 0.6988
0.6988 0.3012 0.6988
0.6988 0.6988 0.3012
```

The 10 most intense peaks (5° ≤ 2θ ≤ 70°), by angle:
2θ = 15.75°, I 100.0; 2θ = 27.46°, I 10.7; 2θ = 31.81°, I 41.6; 2θ = 35.68°, I 41.2; 2θ = 45.60°, I 43.3; 2θ = 48.54°, I 24.3; 2θ = 56.67°, I 11.5; 2θ = 59.21°, I 13.3; 2θ = 66.46°, I 6.2; 2θ = 68.79°, I 12.5



Computed XRD peak list of LiSiAgO3 for copper Kα, from a crystal structure in OQMD, relaxed with PBE.
Intensities are scaled so that the largest is 100.

```
LiSiAgO3
1.0
2.7637 0.0000 0.0000
0.0000 8.2336 0.0000
0.0000 0.0000 10.3502
Li Si Ag O
4 4 4 12
direct
0.0000 0.0678 0.0000
0.0000 0.9322 0.5000
0.5000 0.4122 0.4261
0.5000 0.5878 0.9261
0.0000 0.3966 0.1700
0.0000 0.6034 0.6700
0.5000 0.1044 0.2571
0.5000 0.8956 0.7571
0.0000 0.2370 0.6041
0.0000 0.7630 0.1041
0.5000 0.2698 0.8447
0.5000 0.7302 0.3447
0.0000 0.0075 0.1756
0.0000 0.2412 0.3100
0.0000 0.4841 0.5369
0.0000 0.5159 0.0369
0.0000 0.7588 0.8100
0.0000 0.9925 0.6756
0.5000 0.0123 0.8907
0.5000 0.2604 0.1166
0.5000 0.4928 0.2526
0.5000 0.5072 0.7526
0.5000 0.7396 0.6166
0.5000 0.9877 0.3907
```

The 10 most intense peaks (5° ≤ 2θ ≤ 70°), by angle:
2θ = 13.74°, I 100.0; 2θ = 21.59°, I 53.9; 2θ = 28.04°, I 54.7; 2θ = 33.79°, I 43.5; 2θ = 35.34°, I 59.6; 2θ = 36.87°, I 74.1; 2θ = 41.21°, I 50.6; 2θ = 43.37°, I 40.7; 2θ = 47.51°, I 32.1; 2θ = 54.08°, I 32.7



Computed XRD peak list of LiAgTeOsSe2 for copper Kα, from a crystal structure in OQMD, relaxed with PBE.
Intensities are scaled so that the largest is 100.

```
LiAgTeOsSe2
1.0
1.8778 -6.6083 0.0000
1.8778 6.6083 0.0000
0.0000 0.0000 10.2233
Li Ag Te Os Se
2 2 2 2 4
direct
0.2349 0.7651 0.7500
0.7651 0.2349 0.2500
0.4251 0.5749 0.2500
0.5749 0.4251 0.7500
0.0898 0.9102 0.2500
0.9102 0.0898 0.7500
0.0000 0.0000 0.0000
0.0000 0.0000 0.5000
0.3699 0.6301 0.0156
0.3699 0.6301 0.4844
0.6301 0.3699 0.5156
0.6301 0.3699 0.9844
```

The 10 most intense peaks (5° ≤ 2θ ≤ 70°), by angle:
2θ = 13.40°, I 100.0; 2θ = 31.30°, I 24.2; 2θ = 32.53°, I 36.1; 2θ = 35.11°, I 39.1; 2θ = 36.00°, I 51.4; 2θ = 37.74°, I 16.5; 2θ = 44.80°, I 24.3; 2θ = 45.56°, I 22.5; 2θ = 48.48°, I 16.2; 2θ = 61.25°, I 16.6



Computed XRD peak list of LiAgTe2OsSe for copper Kα, from a crystal structure in OQMD, relaxed with PBE.
Intensities are scaled so that the largest is 100.

```
LiAgTe2OsSe
1.0
1.9750 -6.6094 0.0000
1.9750 6.6094 0.0000
0.0000 0.0000 10.1254
Li Ag Te Os Se
2 2 4 2 2
direct
0.2427 0.7573 0.7500
0.7573 0.2427 0.2500
0.4297 0.5703 0.2500
0.5703 0.4297 0.7500
0.3606 0.6394 0.0029
0.3606 0.6394 0.4971
0.6394 0.3606 0.5029
0.6394 0.3606 0.9971
0.0000 0.0000 0.0000
0.0000 0.0000 0.5000
0.0719 0.9281 0.2500
0.9281 0.0719 0.7500
```

The 10 most intense peaks (5° ≤ 2θ ≤ 70°), by angle:
2θ = 13.40°, I 99.1; 2θ = 17.52°, I 45.7; 2θ = 30.39°, I 66.7; 2θ = 31.68°, I 29.9; 2θ = 35.29°, I 100.0; 2θ = 35.46°, I 57.6; 2θ = 44.87°, I 35.9; 2θ = 45.95°, I 27.7; 2θ = 47.38°, I 39.1; 2θ = 59.35°, I 25.6



Computed XRD peak list of LiAgP2 for copper Kα, from a crystal structure in OQMD, relaxed with PBE.
Intensities are scaled so that the largest is 100.

```
LiAgP2
1.0
3.2730 -4.7010 0.0000
3.2730 4.7010 0.0000
-2.7722 0.0000 4.6346
Li Ag P
2 2 4
direct
0.2056 0.7944 0.5000
0.7944 0.2056 0.0000
0.7509 0.9327 0.3896
0.9327 0.7509 0.8896
0.1704 0.3870 0.6446
0.3008 0.5092 0.1054
0.3870 0.1704 0.1446
0.5092 0.3008 0.6054
```

The 10 most intense peaks (5° ≤ 2θ ≤ 70°), by angle:
2θ = 18.40°, I 45.8; 2θ = 18.88°, I 32.4; 2θ = 19.88°, I 100.0; 2θ = 27.02°, I 70.4; 2θ = 31.86°, I 63.1; 2θ = 33.61°, I 93.3; 2θ = 34.79°, I 75.1; 2θ = 49.71°, I 37.2; 2θ = 50.66°, I 43.8; 2θ = 51.29°, I 37.9



Computed XRD peak list of LiAgP2Pb2 for copper Kα, from a crystal structure in OQMD, relaxed with PBE.
Intensities are scaled so that the largest is 100.

```
LiAgP2Pb2
1.0
4.3395 0.0000 0.0000
-2.1698 3.7582 0.0000
0.0000 0.0000 8.0956
Li Ag P Pb
1 1 2 2
direct
0.0000 0.0000 0.0000
0.3333 0.6667 0.5000
0.0000 0.0000 0.5000
0.3333 0.6667 0.0000
0.6667 0.3333 0.2429
0.6667 0.3333 0.7571
```

The 10 most intense peaks (5° ≤ 2θ ≤ 70°), by angle:
2θ = 21.96°, I 8.2; 2θ = 23.67°, I 46.4; 2θ = 32.51°, I 100.0; 2θ = 41.62°, I 34.4; 2θ = 44.78°, I 9.1; 2θ = 47.55°, I 7.7; 2θ = 48.44°, I 7.4; 2θ = 51.27°, I 12.1; 2θ = 53.78°, I 24.3; 2θ = 62.78°, I 20.0